This entry pairs a crystal structure of RbBrCl3 with its calculated powder diffraction line list. Radiation: λ = 1.5418 Å (Cu Kα). Structure: a crystal structure in Alexandria, relaxed with PBE.
Lines closer than 0.1° are merged.

Most intense lines, 5° ≤ 2θ ≤ 70°, by angle:
| 2θ (°) | I/Imax |
| --- | --- |
| 14.90 | 43.0 |
| 15.80 | 41.7 |
| 18.85 | 61.2 |
| 21.78 | 100.0 |
| 24.53 | 39.4 |
| 25.67 | 87.0 |
| 25.87 | 41.1 |
| 33.52 | 42.8 |

Atomic structure:
```
data_RbBrCl3
_chemical_formula_sum 'Rb2 Br2 Cl6'
_space_group_name_H-M_alt 'P 1'
_space_group_IT_number 1
_cell_length_a 6.0023
_cell_length_b 6.1447
_cell_length_c 11.8308
_cell_angle_alpha 102.82
_cell_angle_beta 97.39
_cell_angle_gamma 95.10
loop_
_space_group_symop_operation_xyz
'x,y,z'
loop_
_atom_site_label
_atom_site_fract_x
_atom_site_fract_y
_atom_site_fract_z
_atom_site_occupancy
Rb1 0.0000 0.0000 0.0000 1
Rb2 0.4169 0.1860 0.4012 1
Br1 0.4978 0.6641 0.8042 1
Br2 0.8661 0.2161 0.6600 1
Cl1 0.0914 0.7379 0.2238 1
Cl2 0.2427 0.8888 0.7520 1
Cl3 0.3229 0.4660 0.1807 1
Cl4 0.5460 0.1682 0.1378 1
Cl5 0.8106 0.4159 0.8601 1
Cl6 0.9133 0.0206 0.4714 1
```

---

This entry pairs a crystal structure of CsBi2Au2O6 with its calculated powder diffraction line list. Radiation: λ = 1.5418 Å (Cu Kα). Structure: a crystal structure in Alexandria, relaxed with PBE.
Lines closer than 0.1° are merged.

Most intense lines, 5° ≤ 2θ ≤ 70°, by angle:
| 2θ (°) | I/Imax |
| --- | --- |
| 16.17 | 88.6 |
| 27.46 | 100.0 |
| 28.85 | 68.3 |
| 28.99 | 56.0 |
| 30.50 | 95.7 |
| 30.95 | 76.4 |
| 34.61 | 41.3 |
| 34.98 | 44.0 |

Atomic structure:
```
data_CsBi2Au2O6
_chemical_formula_sum 'Cs1 Bi2 Au2 O6'
_space_group_name_H-M_alt 'P 1'
_space_group_IT_number 1
_cell_length_a 6.3731
_cell_length_b 6.3763
_cell_length_c 7.2139
_cell_angle_alpha 102.25
_cell_angle_beta 103.42
_cell_angle_gamma 118.58
loop_
_space_group_symop_operation_xyz
'x,y,z'
loop_
_atom_site_label
_atom_site_fract_x
_atom_site_fract_y
_atom_site_fract_z
_atom_site_occupancy
Cs1 0.0000 0.0000 0.0000 1
Bi1 0.3441 0.6566 0.0007 1
Bi2 0.6559 0.3434 0.9993 1
Au1 0.2293 0.7715 0.5000 1
Au2 0.7707 0.2285 0.5000 1
O1 0.0881 0.6409 0.1918 1
O2 0.3566 0.9134 0.8078 1
O3 0.4843 0.4877 0.8074 1
O4 0.5157 0.5123 0.1926 1
O5 0.6434 0.0866 0.1922 1
O6 0.9119 0.3591 0.8082 1
```

---

This entry pairs a crystal structure of Dy3Y3PuSe8 with its calculated powder diffraction line list. Radiation: λ = 1.5418 Å (Cu Kα). Structure: a crystal structure in Alexandria, relaxed with PBE.
Lines closer than 0.1° are merged.

Most intense lines, 5° ≤ 2θ ≤ 70°, by angle:
| 2θ (°) | I/Imax |
| --- | --- |
| 13.31 | 21.6 |
| 25.64 | 17.3 |
| 26.80 | 8.8 |
| 31.04 | 100.0 |
| 33.91 | 10.1 |
| 44.47 | 73.6 |
| 55.23 | 25.7 |
| 64.71 | 11.9 |

Atomic structure:
```
data_Dy3Y3PuSe8
_chemical_formula_sum 'Dy3 Y3 Pu1 Se8'
_space_group_name_H-M_alt 'P 1'
_space_group_IT_number 1
_cell_length_a 8.1479
_cell_length_b 8.1479
_cell_length_c 8.1479
_cell_angle_alpha 60.01
_cell_angle_beta 60.01
_cell_angle_gamma 60.01
loop_
_space_group_symop_operation_xyz
'x,y,z'
loop_
_atom_site_label
_atom_site_fract_x
_atom_site_fract_y
_atom_site_fract_z
_atom_site_occupancy
Dy1 0.0000 0.5000 0.5000 1
Dy2 0.5000 0.0000 0.5000 1
Dy3 0.5000 0.5000 0.0000 1
Y1 0.0000 0.0000 0.5000 1
Y2 0.0000 0.5000 0.0000 1
Y3 0.5000 0.0000 0.0000 1
Pu1 0.0000 0.0000 0.0000 1
Se1 0.2503 0.2503 0.2503 1
Se2 0.2564 0.2564 0.7427 1
Se3 0.2564 0.7427 0.2564 1
Se4 0.2573 0.7436 0.7436 1
Se5 0.7427 0.2564 0.2564 1
Se6 0.7436 0.2573 0.7436 1
Se7 0.7436 0.7436 0.2573 1
Se8 0.7497 0.7497 0.7497 1
```

---

This entry pairs a crystal structure of PaAl3Fe2 with its calculated powder diffraction line list. Radiation: λ = 1.5418 Å (Cu Kα). Structure: a crystal structure in Alexandria, relaxed with PBE.
Lines closer than 0.1° are merged.

Most intense lines, 5° ≤ 2θ ≤ 70°, by angle:
| 2θ (°) | I/Imax |
| --- | --- |
| 15.03 | 100.0 |
| 22.25 | 63.2 |
| 27.25 | 56.8 |
| 34.62 | 70.9 |
| 37.51 | 46.1 |
| 38.35 | 48.2 |
| 39.40 | 56.2 |
| 49.35 | 39.0 |

Atomic structure:
```
data_PaAl3Fe2
_chemical_formula_sum 'Pa2 Al6 Fe4'
_space_group_name_H-M_alt 'P 1'
_space_group_IT_number 1
_cell_length_a 5.8988
_cell_length_b 5.8988
_cell_length_c 5.4314
_cell_angle_alpha 90.00
_cell_angle_beta 90.00
_cell_angle_gamma 88.10
loop_
_space_group_symop_operation_xyz
'x,y,z'
loop_
_atom_site_label
_atom_site_fract_x
_atom_site_fract_y
_atom_site_fract_z
_atom_site_occupancy
Pa1 0.1150 0.8850 0.7500 1
Pa2 0.8850 0.1150 0.2500 1
Al1 0.0637 0.5920 0.2500 1
Al2 0.4080 0.9363 0.2500 1
Al3 0.4933 0.5067 0.7500 1
Al4 0.5067 0.4933 0.2500 1
Al5 0.5920 0.0637 0.7500 1
Al6 0.9363 0.4080 0.7500 1
Fe1 0.2514 0.2514 0.0000 1
Fe2 0.2514 0.2514 0.5000 1
Fe3 0.7486 0.7486 0.0000 1
Fe4 0.7486 0.7486 0.5000 1
```

---

This entry pairs a crystal structure of Ca3Ga4Pd8 with its calculated powder diffraction line list. Radiation: λ = 1.5418 Å (Cu Kα). Structure: a crystal structure in Alexandria, relaxed with PBE.
Lines closer than 0.1° are merged.

Most intense lines, 5° ≤ 2θ ≤ 70°, by angle:
| 2θ (°) | I/Imax |
| --- | --- |
| 11.94 | 15.2 |
| 13.79 | 17.2 |
| 36.36 | 42.2 |
| 39.71 | 100.0 |
| 41.61 | 28.9 |
| 46.37 | 20.5 |
| 46.94 | 14.0 |
| 69.89 | 15.1 |

Atomic structure:
```
data_Ca3Ga4Pd8
_chemical_formula_sum 'Ca6 Ga8 Pd16'
_space_group_name_H-M_alt 'P 1'
_space_group_IT_number 1
_cell_length_a 9.0787
_cell_length_b 9.0787
_cell_length_c 9.0787
_cell_angle_alpha 60.00
_cell_angle_beta 60.00
_cell_angle_gamma 60.00
loop_
_space_group_symop_operation_xyz
'x,y,z'
loop_
_atom_site_label
_atom_site_fract_x
_atom_site_fract_y
_atom_site_fract_z
_atom_site_occupancy
Ca1 0.2245 0.2245 0.7755 1
Ca2 0.2245 0.7755 0.2245 1
Ca3 0.2245 0.7755 0.7755 1
Ca4 0.7755 0.2245 0.2245 1
Ca5 0.7755 0.2245 0.7755 1
Ca6 0.7755 0.7755 0.2245 1
Ga1 0.0000 0.0000 0.0000 1
Ga2 0.0000 0.0000 0.5000 1
Ga3 0.0000 0.5000 0.0000 1
Ga4 0.0000 0.5000 0.5000 1
Ga5 0.5000 0.0000 0.0000 1
Ga6 0.5000 0.0000 0.5000 1
Ga7 0.5000 0.5000 0.0000 1
Ga8 0.5000 0.5000 0.5000 1
Pd1 0.1443 0.6186 0.6186 1
Pd2 0.1686 0.1686 0.1686 1
Pd3 0.1686 0.1686 0.4943 1
Pd4 0.1686 0.4943 0.1686 1
Pd5 0.3814 0.3814 0.3814 1
Pd6 0.3814 0.3814 0.8557 1
Pd7 0.3814 0.8557 0.3814 1
Pd8 0.4943 0.1686 0.1686 1
Pd9 0.5057 0.8314 0.8314 1
Pd10 0.6186 0.1443 0.6186 1
Pd11 0.6186 0.6186 0.1443 1
Pd12 0.6186 0.6186 0.6186 1
Pd13 0.8314 0.5057 0.8314 1
Pd14 0.8314 0.8314 0.5057 1
Pd15 0.8314 0.8314 0.8314 1
Pd16 0.8557 0.3814 0.3814 1
```

---

This entry pairs a crystal structure of NbFeGeH with its calculated powder diffraction line list. Radiation: λ = 1.5418 Å (Cu Kα). Structure: a crystal structure in Alexandria, relaxed with PBE.
Lines closer than 0.1° are merged.

Most intense lines, 5° ≤ 2θ ≤ 70°, by angle:
| 2θ (°) | I/Imax |
| --- | --- |
| 24.53 | 7.6 |
| 39.06 | 57.5 |
| 39.19 | 100.0 |
| 42.96 | 79.4 |
| 43.29 | 39.4 |
| 59.36 | 12.7 |
| 59.71 | 31.7 |
| 62.52 | 12.6 |

Atomic structure:
```
data_NbFeGeH
_chemical_formula_sum 'Nb1 Fe1 Ge1 H1'
_space_group_name_H-M_alt 'P 1'
_space_group_IT_number 1
_cell_length_a 2.9713
_cell_length_b 4.2113
_cell_length_c 4.2113
_cell_angle_alpha 59.51
_cell_angle_beta 90.00
_cell_angle_gamma 90.00
loop_
_space_group_symop_operation_xyz
'x,y,z'
loop_
_atom_site_label
_atom_site_fract_x
_atom_site_fract_y
_atom_site_fract_z
_atom_site_occupancy
Nb1 0.0000 0.0000 0.0000 1
Fe1 0.5000 0.6673 0.6673 1
Ge1 0.5000 0.3261 0.3261 1
H1 0.0000 0.5784 0.5784 1
```

---

This entry pairs a crystal structure of La2NdY6Er with its calculated powder diffraction line list. Radiation: λ = 1.5418 Å (Cu Kα). Structure: a crystal structure in Alexandria, relaxed with PBE.
Lines closer than 0.1° are merged.

Most intense lines, 5° ≤ 2θ ≤ 70°, by angle:
| 2θ (°) | I/Imax |
| --- | --- |
| 27.06 | 26.1 |
| 28.59 | 44.5 |
| 29.84 | 51.8 |
| 30.16 | 54.0 |
| 31.37 | 100.0 |
| 31.80 | 76.4 |
| 32.20 | 20.6 |
| 32.70 | 55.0 |

Atomic structure:
```
data_La2NdY6Er
_chemical_formula_sum 'La4 Nd2 Y12 Er2'
_space_group_name_H-M_alt 'P 1'
_space_group_IT_number 1
_cell_length_a 8.7890
_cell_length_b 8.7890
_cell_length_c 9.9703
_cell_angle_alpha 95.59
_cell_angle_beta 95.59
_cell_angle_gamma 117.41
loop_
_space_group_symop_operation_xyz
'x,y,z'
loop_
_atom_site_label
_atom_site_fract_x
_atom_site_fract_y
_atom_site_fract_z
_atom_site_occupancy
La1 0.1933 0.2865 0.0448 1
La2 0.2865 0.1933 0.5448 1
La3 0.7135 0.8067 0.4552 1
La4 0.8067 0.7135 0.9552 1
Nd1 0.0134 0.9866 0.2500 1
Nd2 0.9866 0.0134 0.7500 1
Y1 0.0188 0.5767 0.1876 1
Y2 0.1175 0.7343 0.5570 1
Y3 0.2657 0.8825 0.9430 1
Y4 0.3023 0.5117 0.3834 1
Y5 0.4233 0.9812 0.3124 1
Y6 0.4883 0.6977 0.1166 1
Y7 0.5117 0.3023 0.8834 1
Y8 0.5767 0.0188 0.6876 1
Y9 0.6977 0.4883 0.6166 1
Y10 0.7343 0.1175 0.0570 1
Y11 0.8825 0.2657 0.4430 1
Y12 0.9812 0.4233 0.8124 1
Er1 0.4042 0.5958 0.7500 1
Er2 0.5958 0.4042 0.2500 1
```